# 1
Diffraction record for Rb3YSc3Te8. The X-ray powder pattern is theoretical, not measured: it uses the PBE geometry in Alexandria and CuKα.

Atomic structure:
```
Rb3YSc3Te8
1.0
4.2452 2.4510 8.7838
-4.2452 2.4510 8.7838
0.0000 -4.9019 8.7838
Rb Y Sc Te
3 1 3 8
Cartesian
-2.1226 -1.2255 8.7838
-2.1226 1.2255 17.5675
0.0000 2.4509 8.7837
0.0000 0.0000 13.1756
-4.2452 0.0000 13.1756
-2.1226 1.2255 4.3919
2.1226 1.2255 4.3919
-2.2204 -1.2819 14.8952
0.0000 0.0000 6.0578
0.0000 -2.5638 11.4561
-2.2204 1.2819 11.4561
2.2204 -1.2819 14.8952
0.0000 2.5639 14.8952
0.0000 0.0000 20.2934
2.2204 1.2819 11.4561
```

Peak list (10 most intense, 2θ = 5–70°, in order of rising 2θ)
d (Å)	two_theta	I/Imax
8.784	10.1	19
3.541	25.1	15
3.210	27.8	100
3.015	29.6	15
2.630	34.1	15
2.453	36.6	29
2.123	42.6	36
1.771	51.6	17
1.719	53.3	13
1.360	69.1	13

# 2
Diffraction record for CaTl3Hg12. The X-ray powder pattern is theoretical, not measured: it uses the PBE geometry in Alexandria and CuKα.

Atomic structure:
```
CaTl3Hg12
1.0
4.5957 0.0000 0.0000
0.0000 4.5957 0.0000
0.0000 0.0000 20.8841
Ca Tl Hg
1 3 12
Cartesian
0.0000 0.0000 0.0000
0.0000 0.0000 5.1877
0.0000 0.0000 10.4421
0.0000 0.0000 15.6964
0.0000 2.2978 2.4649
0.0000 2.2978 7.7624
0.0000 2.2978 13.1217
0.0000 2.2978 18.4192
2.2978 0.0000 2.4649
2.2978 0.0000 7.7624
2.2978 0.0000 13.1217
2.2978 0.0000 18.4192
2.2978 2.2978 0.0000
2.2978 2.2978 5.0091
2.2978 2.2978 10.4421
2.2978 2.2978 15.8750
```

Peak list (10 most intense, 2θ = 5–70°, in order of rising 2θ)
d (Å)	two_theta	I/Imax
2.945	30.4	2
2.759	32.5	100
2.611	34.4	20
2.298	39.2	31
1.725	53.1	24
1.639	56.1	2
1.625	56.6	11
1.534	60.3	15
1.400	66.8	26
1.379	68.0	12

# 3
Diffraction record for CaGe2Pb2Au7. The X-ray powder pattern is theoretical, not measured: it uses the PBE geometry in Alexandria and CuKα.

Atomic structure:
```
CaGe2Pb2Au7
1.0
3.0356 -3.0175 0.0000
3.0356 3.0175 0.0000
-2.9655 0.0000 15.7304
Ca Ge Pb Au
1 2 2 7
Cartesian
0.0000 0.0000 0.0000
0.0874 0.0000 12.0427
3.0182 0.0000 3.6876
0.0169 0.0000 6.5927
3.0887 0.0000 9.1377
1.5079 1.5116 2.2003
0.0484 0.0000 9.4979
1.5977 1.5116 13.5301
3.0356 0.0000 0.0000
1.5079 -1.5116 2.2003
3.0572 0.0000 6.2324
1.5977 -1.5116 13.5301
```

Peak list (10 most intense, 2θ = 5–70°, in order of rising 2θ)
d (Å)	two_theta	I/Imax
4.241	20.9	25
3.933	22.6	48
2.981	30.0	53
2.963	30.2	53
2.632	34.1	23
2.618	34.3	71
2.247	40.1	27
2.189	41.2	24
2.178	41.5	65
2.140	42.2	100

# 4
Diffraction record for Sr3InS4. The X-ray powder pattern is theoretical, not measured: it uses the PBE geometry in Alexandria and CuKα.

Atomic structure:
```
Sr3InS4
1.0
10.0788 0.0000 0.0000
0.0000 8.7504 0.0000
0.0000 0.0000 5.9145
Sr In S
6 2 8
Cartesian
0.0000 1.3673 5.9142
2.5118 2.9025 2.9572
2.5276 5.8479 0.0000
5.0394 7.3831 2.9569
7.5512 5.8479 0.0000
7.5670 2.9025 2.9572
0.0000 7.2490 2.9162
5.0394 1.5014 5.8735
0.0000 1.3379 2.9595
0.0000 7.2349 0.0675
2.4900 5.8659 2.9600
2.5494 2.8845 0.0027
5.0394 1.5154 3.0248
5.0394 7.4125 0.0023
7.5294 2.8845 0.0027
7.5888 5.8659 2.9600
```

Peak list (10 most intense, 2θ = 5–70°, in order of rising 2θ)
d (Å)	two_theta	I/Imax
4.370	20.3	100
3.515	25.3	75
2.957	30.2	48
2.523	35.6	91
2.449	36.7	42
2.185	41.3	15
2.049	44.2	18
1.920	47.3	52
1.918	47.4	26
1.757	52.0	15

# 5
Diffraction record for Mn2FeCu. The X-ray powder pattern is theoretical, not measured: it uses the PBE geometry in Alexandria and CuKα.

Atomic structure:
```
Mn2FeCu
1.0
-1.8010 1.8010 3.6704
1.8010 -1.8010 3.6704
1.8010 1.8010 -3.6704
Mn Fe Cu
2 1 1
Cartesian
0.0000 0.0000 0.0000
0.0000 1.8010 1.8352
1.8010 0.0000 1.8352
0.0000 0.0000 3.6704
```

Peak list (4 most intense, 2θ = 5–70°, in order of rising 2θ)
d (Å)	two_theta	I/Imax
3.234	27.6	1
2.093	43.2	100
1.835	49.7	16
1.801	50.7	30

# 6
Diffraction record for SnAsO5. The X-ray powder pattern is theoretical, not measured: it uses the PBE geometry in Alexandria and CuKα.

Atomic structure:
```
SnAsO5
1.0
3.7119 -3.9350 0.0000
3.7119 3.9350 0.0000
-3.4330 0.0000 7.0521
Sn As O
2 2 10
Cartesian
0.0000 0.0000 0.0000
-1.7165 0.0000 3.5260
1.1371 1.0483 5.2891
2.8536 -1.0483 1.7630
2.8536 3.2677 1.7630
1.6573 1.9305 3.9221
0.6170 1.9305 6.6560
1.6098 0.0681 1.3040
-0.1067 -0.0681 4.8301
4.0974 0.0681 2.2220
2.3810 -0.0681 5.7480
3.3738 -1.9305 0.3961
2.3334 -1.9305 3.1299
1.1371 -3.2677 5.2891
```

Peak list (10 most intense, 2θ = 5–70°, in order of rising 2θ)
d (Å)	two_theta	I/Imax
5.091	17.4	34
4.994	17.8	27
3.935	22.6	27
3.496	25.5	100
3.436	25.9	22
3.337	26.7	62
2.530	35.5	24
2.442	36.8	33
1.697	54.0	16
1.680	54.6	17

# 7
Diffraction record for RbN2Cl2. The X-ray powder pattern is theoretical, not measured: it uses the PBE geometry in Alexandria and CuKα.

Atomic structure:
```
RbN2Cl2
1.0
7.1969 0.0000 0.0000
0.0000 7.1969 0.0000
0.0000 0.0000 10.2270
Rb N Cl
4 8 8
Cartesian
0.0000 0.0000 2.5617
0.0000 0.0000 7.6653
3.5984 3.5984 2.5518
3.5984 3.5984 7.6752
0.3932 3.2052 2.5568
0.3932 3.2052 7.6703
3.2052 6.8037 2.5568
3.2052 6.8037 7.6703
3.9917 0.3932 2.5568
3.9917 0.3932 7.6703
6.8037 3.9917 2.5568
6.8037 3.9917 7.6703
1.7223 5.3362 0.0000
1.7378 5.3207 5.1135
1.8607 1.7223 0.0000
1.8762 1.7378 5.1135
5.3207 5.4591 5.1135
5.3362 5.4746 0.0000
5.4591 1.8762 5.1135
5.4746 1.8607 0.0000
```

Peak list (10 most intense, 2θ = 5–70°, in order of rising 2θ)
d (Å)	two_theta	I/Imax
5.094	17.4	25
3.606	24.7	22
2.943	30.4	100
2.557	35.1	18
2.544	35.3	30
2.276	39.6	10
2.079	43.5	12
1.804	50.6	19
1.540	60.1	12
1.535	60.3	19

# 8
Diffraction record for Na2NiH4. The X-ray powder pattern is theoretical, not measured: it uses the PBE geometry in Alexandria and CuKα.

Atomic structure:
```
Na2NiH4
1.0
1.7093 -7.0683 0.0000
1.7093 7.0683 0.0000
0.0000 0.0000 3.3912
Na Ni H
2 1 4
Cartesian
1.7093 5.3896 0.0000
1.7093 -5.3896 0.0000
1.7093 0.0000 1.6956
0.0000 0.0000 1.6956
1.7093 1.5939 1.6956
1.7093 0.0000 0.0000
1.7093 -1.5939 1.6956
```

Peak list (10 most intense, 2θ = 5–70°, in order of rising 2θ)
d (Å)	two_theta	I/Imax
7.068	12.5	100
3.058	29.2	19
2.767	32.4	33
2.447	36.7	32
2.373	37.9	48
2.179	41.4	20
1.935	47.0	7
1.547	59.8	9
1.446	64.4	8
1.401	66.8	10

# 9
Diffraction record for LaAl4Ni2. The X-ray powder pattern is theoretical, not measured: it uses the PBE geometry in Alexandria and CuKα.

Atomic structure:
```
LaAl4Ni2
1.0
16.9627 0.0000 0.0000
0.0000 4.0892 0.0000
0.0000 0.0000 7.0151
La Al Ni
4 16 8
Cartesian
2.0045 1.0223 0.1371
6.4768 3.0669 3.6447
10.4859 1.0223 3.3705
14.9582 3.0669 6.8780
0.6376 3.0669 5.0272
1.6809 1.0223 3.5457
3.2279 3.0669 2.4356
3.4634 3.0669 5.1139
5.0179 1.0223 1.6063
5.2534 1.0223 5.9432
6.8004 3.0669 0.0382
7.8437 1.0223 1.5196
9.1189 3.0669 5.4956
10.1623 1.0223 6.9770
11.7092 3.0669 1.0720
11.9448 3.0669 5.4088
13.4992 1.0223 1.9012
13.7348 1.0223 4.5795
15.2817 3.0669 3.4694
16.3251 1.0223 1.9880
0.5938 3.0669 2.5058
4.0248 1.0223 3.8122
4.4566 3.0669 0.3046
7.8876 1.0223 6.0133
9.0751 3.0669 1.0018
12.5061 1.0223 6.7105
12.9379 3.0669 3.2030
16.3689 1.0223 4.5094
```

Peak list (10 most intense, 2θ = 5–70°, in order of rising 2θ)
d (Å)	two_theta	I/Imax
4.402	20.2	31
3.683	24.2	31
3.508	25.4	28
3.054	29.2	45
2.996	29.8	99
2.703	33.1	26
2.540	35.3	100
2.325	38.7	60
2.045	44.3	45
1.742	52.5	26

# 10
Diffraction record for RbSn2TeSe6. The X-ray powder pattern is theoretical, not measured: it uses the PBE geometry in Alexandria and CuKα.

Atomic structure:
```
RbSn2TeSe6
1.0
7.4752 -5.7491 0.0000
7.4752 5.7491 0.0000
-4.6302 0.0000 7.6419
Rb Sn Te Se
2 4 2 12
Cartesian
4.0025 2.8864 5.7314
6.3176 -2.8864 1.9105
2.9732 0.9490 0.1572
0.6581 -0.9490 3.9781
9.6620 0.9490 3.6638
7.3469 -0.9490 7.4847
6.3176 2.2659 1.9105
4.0025 -2.2659 5.7314
-1.7445 0.3216 4.9618
0.5706 -0.3216 1.1408
0.8221 2.3486 6.8811
4.3923 0.5766 2.4638
2.0772 -0.5766 6.2847
7.1829 2.3486 4.5816
3.1372 -2.3486 3.0602
8.2429 0.5766 1.3572
5.9278 -0.5766 5.1781
9.4980 -2.3486 0.7607
9.7495 0.3216 6.5010
12.0646 -0.3216 2.6801
```

Peak list (10 most intense, 2θ = 5–70°, in order of rising 2θ)
d (Å)	two_theta	I/Imax
7.036	12.6	100
4.914	18.1	22
3.519	25.3	43
3.037	29.4	26
2.992	29.9	97
2.852	31.4	22
2.718	33.0	73
2.659	33.7	31
2.025	44.8	33
1.998	45.4	23

# 11
Diffraction record for TaMnRu2. The X-ray powder pattern is theoretical, not measured: it uses the PBE geometry in Alexandria and CuKα.

Atomic structure:
```
TaMnRu2
1.0
2.8329 0.0000 0.0000
0.0000 3.7500 0.0000
0.0000 0.0000 5.5059
Ta Mn Ru
1 1 2
Cartesian
0.0000 0.0000 0.0000
1.4164 1.8750 1.4653
0.0000 0.0000 2.7135
1.4164 1.8750 4.0809
```

Peak list (10 most intense, 2θ = 5–70°, in order of rising 2θ)
d (Å)	two_theta	I/Imax
5.506	16.1	13
3.750	23.7	14
3.099	28.8	12
2.260	39.9	100
2.219	40.7	94
1.974	46.0	66
1.875	48.6	28
1.416	65.9	11
1.376	68.1	10
1.360	69.1	38

# 12
Diffraction record for SrBi4Rh. The X-ray powder pattern is theoretical, not measured: it uses the PBE geometry in Alexandria and CuKα.

Atomic structure:
```
SrBi4Rh
1.0
4.9915 0.0000 0.0000
-1.9049 8.3723 0.0000
-0.2779 -1.7025 8.9867
Sr Bi Rh
2 8 2
Cartesian
0.0068 1.3666 4.3600
2.8019 5.3031 4.6266
-0.2880 -0.1470 8.2756
0.2959 4.3396 2.3710
0.1404 4.3005 7.3714
2.2315 -0.9136 6.2317
0.5773 7.5833 2.7549
2.6683 2.3693 1.6152
2.5128 2.3302 6.6157
3.0968 6.8168 0.7110
-0.9524 4.1861 0.0000
2.4958 0.0000 0.0000
```

Peak list (10 most intense, 2θ = 5–70°, in order of rising 2θ)
d (Å)	two_theta	I/Imax
8.987	9.8	48
3.361	26.5	29
3.185	28.0	100
3.137	28.5	24
2.832	31.6	39
2.771	32.3	23
2.666	33.6	47
2.565	35.0	20
2.489	36.1	49
2.232	40.4	29